# NpZn2CrO6
Computed X-ray powder pattern, Cu Kα (weighted mean of Kα1 and Kα2). Input: a DFT-relaxed cell (PBE+U, Alexandria).
Peak positions follow from Bragg's law for the DFT cell and can differ from measured ones.

Structure:
```
10
Lattice="2.651 1.531 4.953 -2.651 1.531 4.953 0.000 -3.061 4.953" Properties=species:S:1:pos:R:3 pbc="T T T"
Np 0.000 0.000 0.000
Zn 0.000 0.000 3.172
Zn 0.000 0.000 11.686
Cr 0.000 0.000 7.429
O -1.691 0.146 6.303
O -0.972 -1.392 8.555
O 0.719 -1.538 6.303
O -0.719 1.538 8.555
O 0.972 1.392 6.303
O 1.691 -0.146 8.555
```

Main lines, most intense first (5° ≤ 2θ ≤ 70°):
2θ = 30.97°, I = 100
2θ = 20.24°, I = 92
2θ = 33.81°, I = 87
2θ = 36.00°, I = 48
2θ = 22.77°, I = 46
2θ = 46.50°, I = 39
2θ = 50.43°, I = 35
2θ = 58.72°, I = 34
2θ = 60.49°, I = 28
2θ = 53.16°, I = 25